Theoretical PXRD pattern
Compound: GaCoGePt
Radiation: Cu Ka
Structure: a PBE-relaxed structure
No peak broadening, texture or thermal motion is included.

Structural model:
a = 2.7807 Å, b = 3.1147 Å, c = 13.3212 Å
α = 90.00°, β = 90.00°, γ = 90.00°
Positions (direct):
Ga 0.0000 0.0000 0.0000
Ga 0.0000 0.5000 0.5000
Co 0.5000 0.0000 0.6115
Co 0.5000 0.5000 0.1115
Ge 0.0000 0.0000 0.2141
Ge 0.0000 0.5000 0.7141
Pt 0.5000 0.0000 0.3799
Pt 0.5000 0.5000 0.8799

Principal peaks in the range 10° ≤ 2θ ≤ 90°, by intensity:
| h k l | two_theta | Rel. int. |
| --- | --- | --- |
| 1 0 4 | 42.3 | 100 |
| 1 1 1 | 44.2 | 98 |
| 0 1 5 | 44.8 | 79 |
| 0 1 1 | 29.5 | 70 |
| 0 0 2 | 13.3 | 58 |
| 0 1 3 | 35.2 | 40 |
| 1 1 3 | 48.4 | 39 |
| 1 2 4 | 75.6 | 35 |
| 1 1 9 | 79.6 | 34 |
| 1 0 2 | 35.0 | 33 |